This entry pairs a crystal structure of Rb2MoPtF6 with its theoretical PXRD pattern. Radiation: CuKα. Structure: a structure optimized by DFT (GGA+U).
Kinematic intensities with the Lorentz-polarization factor, no thermal factor.

```
data_Rb2MoPtF6
_cell_length_a 6.7736
_cell_length_b 6.7736
_cell_length_c 8.3949
_cell_angle_alpha 90.00
_cell_angle_beta 90.00
_cell_angle_gamma 90.00
_space_group_name_H-M_alt 'I 4/m m m'
_space_group_IT_number 139
_space_group_name_Hall '-I 4 2'
loop_
_atom_site_label
_atom_site_fract_x
_atom_site_fract_y
_atom_site_fract_z
_atom_site_occupancy
Rb1 0.0000 0.5000 0.2500 1
Mo1 0.0000 0.0000 0.0000 1
Pt1 0.0000 0.0000 0.5000 1
F1 0.0000 0.0000 0.2525 1
F2 0.2179 0.2179 0.0000 1
```

Largest 12 diffraction maxima, in order of falling intensity, 10 to 90 degrees two-theta:
2θ/deg  Rel. int.
28.27  100
26.31  61
47.66  45
37.56  42
58.47  22
18.52  20
51.21  20
43.10  14
74.99  13
54.16  13
77.76  13
61.19  13